The following is a calculated XRD peak list of MoPb2. It was derived from DFT lattice parameters and positions (GGA-PBE), using λ = 1.5418 Å (Cu Kα).
Intensities are scaled so that the largest is 100.

Most intense lines, 2θ = 10–90°, in order of rising 2θ:
hkl 1 1 0, 17.1°, d = 5.195 Å, I = 18
hkl 2 0 0, 24.2°, d = 3.673 Å, I = 60
hkl 1 1 1, 33.4°, d = 2.686 Å, I = 100
hkl 2 2 0, 34.5°, d = 2.597 Å, I = 66
hkl 2 1 1, 39.7°, d = 2.269 Å, I = 16
hkl 1 3 1, 48.7°, d = 1.869 Å, I = 31
hkl 3 1 1, 48.8°, d = 1.865 Å, I = 31
hkl 0 4 0, 49.5°, d = 1.840 Å, I = 11
hkl 3 3 1, 61.1°, d = 1.516 Å, I = 14
hkl 2 2 2, 70.1°, d = 1.343 Å, I = 17

Structural model:
Cell: 7.332 7.361 3.138 Å, 90.00 90.00 90.00°
Space group Pnnm (No. 58)
Unique sites:
Mo 0.000 0.000 0.000 [2 per cell]
Pb 0.231 0.230 0.500 [4 per cell]